Starting from a cell relaxed with GGA-PBE, the powder diffraction line list of Rb2LiGeTe4 was simulated for λ = 1.5418 Å (Cu Kα).
Neutral-atom scattering factors, no anomalous dispersion.

Atomic structure:
```
Rb2LiGeTe4
1.0
0.0000 7.7625 12.6600
3.2073 0.0000 12.6600
3.2073 7.7625 0.0000
Rb Li Ge Te
4 2 2 8
Direct
0.0582 0.0582 0.6918
0.3082 0.3082 0.9418
0.6918 0.6918 0.0582
0.9418 0.9418 0.3082
0.1250 0.1250 0.1250
0.8750 0.8750 0.8750
0.3750 0.3750 0.3750
0.6250 0.6250 0.6250
0.0121 0.3564 0.4429
0.3113 0.5571 0.6436
0.3564 0.0121 0.6887
0.4429 0.6887 0.0121
0.5571 0.3113 0.9879
0.6436 0.9879 0.3113
0.6887 0.4429 0.3564
0.9879 0.6436 0.5571
```

The 12 most intense peaks (10 to 90 degrees two-theta), in order of rising 2θ:
| 2theta | Rel. int. |
| --- | --- |
| 15.3 | 197 |
| 24.5 | 1000 |
| 28.2 | 289 |
| 28.3 | 447 |
| 28.7 | 242 |
| 33.3 | 153 |
| 35.1 | 252 |
| 37.1 | 133 |
| 45.0 | 176 |
| 45.6 | 148 |
| 47.2 | 176 |
| 52.2 | 129 |